[1]
This entry pairs a crystal structure of K2Pd3S2 with its theoretical powder X-ray diffraction pattern. Radiation: copper Kα. Structure: a structure optimized by DFT (PBE).
Kinematic intensities with the Lorentz-polarization factor, no thermal factor.

```
data_K2Pd3S2
_chemical_formula_sum 'K32 Pd48 S32'
_symmetry_space_group_name_H-M 'F d d d'
_symmetry_Int_Tables_number 70
_cell_length_a 8.243
_cell_length_b 10.484
_cell_length_c 31.842
_cell_angle_alpha 90.00
_cell_angle_beta 90.00
_cell_angle_gamma 90.00
loop_
_symmetry_equiv_pos_as_xyz
'x,y,z'
'-x,-y,-z'
'-x+1/4,-y+1/4,z'
'x+1/4,y+1/4,-z'
'x,-y+1/4,-z+1/4'
'-x,y+1/4,z+1/4'
'-x+1/4,y,-z+1/4'
'x+1/4,-y,z+1/4'
'x,y+1/2,z+1/2'
'-x,-y+1/2,-z+1/2'
'-x+1/4,-y+3/4,z+1/2'
'x+1/4,y+3/4,-z+1/2'
'x,-y+3/4,-z+3/4'
'-x,y+3/4,z+3/4'
'-x+1/4,y+1/2,-z+3/4'
'x+1/4,-y+1/2,z+3/4'
'x+1/2,y,z+1/2'
'-x+1/2,-y,-z+1/2'
'-x+3/4,-y+1/4,z+1/2'
'x+3/4,y+1/4,-z+1/2'
'x+1/2,-y+1/4,-z+3/4'
'-x+1/2,y+1/4,z+3/4'
'-x+3/4,y,-z+3/4'
'x+3/4,-y,z+3/4'
'x+1/2,y+1/2,z'
'-x+1/2,-y+1/2,-z'
'-x+3/4,-y+3/4,z'
'x+3/4,y+3/4,-z'
'x+1/2,-y+3/4,-z+1/4'
'-x+1/2,y+3/4,z+1/4'
'-x+3/4,y+1/2,-z+1/4'
'x+3/4,-y+1/2,z+1/4'
loop_
_atom_site_label
_atom_site_type_symbol
_atom_site_fract_x
_atom_site_fract_y
_atom_site_fract_z
K1 K 0.101 0.296 0.422
Pd1 Pd 0.000 0.000 0.000
Pd2 Pd 0.098 0.000 0.732
S1 S 0.006 0.354 0.184
```

Principal peaks in the range 2θ = 15–90°, by intensity:
| (hkl) | Position (°2θ) | d (Å) | intensity |
| --- | --- | --- | --- |
| 0 0 12 | 33.8 | 2.650 | 100 |
| 0 4 0 | 34.2 | 2.623 | 66 |
| 0 4 4 | 36.1 | 2.489 | 63 |
| 3 1 3 | 34.8 | 2.578 | 51 |
| 3 3 1 | 41.9 | 2.154 | 50 |
| 2 0 10 | 35.6 | 2.520 | 49 |


[2]
This entry pairs a crystal structure of K2UPd3S6 with its theoretical powder X-ray diffraction pattern. Radiation: copper Kα. Structure: a structure optimized by DFT (PBE).
Kinematic intensities with the Lorentz-polarization factor, no thermal factor.

```
data_K2UPd3S6
_chemical_formula_sum 'K16 U8 Pd24 S48'
_symmetry_space_group_name_H-M 'F m m m'
_symmetry_Int_Tables_number 69
_symmetry_space_group_name_Hall '-F 2 2'
_cell_length_a 9.751
_cell_length_b 14.403
_cell_length_c 16.759
_cell_angle_alpha 90.00
_cell_angle_beta 90.00
_cell_angle_gamma 90.00
loop_
_atom_site_label
_atom_site_type_symbol
_atom_site_fract_x
_atom_site_fract_y
_atom_site_fract_z
K1 K 0.000 0.205 0.000
K2 K 0.250 0.250 0.250
U1 U 0.000 0.000 0.331
Pd1 Pd 0.163 0.000 0.158
Pd2 Pd 0.173 0.000 0.500
S1 S 0.000 0.113 0.206
S2 S 0.181 0.114 0.396
```

Principal peaks in the range 2θ = 15–90°, by intensity:
| (hkl) | Position (°2θ) | d (Å) | intensity |
| --- | --- | --- | --- |
| 3 3 3 | 37.1 | 2.425 | 100 |
| 3 1 3 | 32.5 | 2.757 | 96 |
| 3 5 3 | 45.1 | 2.011 | 76 |
| 0 2 6 | 34.4 | 2.604 | 50 |
| 2 2 2 | 24.5 | 3.637 | 44 |
| 0 4 6 | 40.9 | 2.207 | 39 |


[3]
This entry pairs a crystal structure of K2PdSe10 with its theoretical powder X-ray diffraction pattern. Radiation: copper Kα. Structure: a structure optimized by DFT (PBE).
Kinematic intensities with the Lorentz-polarization factor, no thermal factor.

```
data_K2PdSe10
_chemical_formula_sum 'K16 Pd8 Se80'
_symmetry_space_group_name_H-M 'I 21 21 21'
_symmetry_Int_Tables_number 24
_symmetry_space_group_name_Hall 'I 2b 2c'
_cell_length_a 12.625
_cell_length_b 16.408
_cell_length_c 16.425
_cell_angle_alpha 90.00
_cell_angle_beta 90.00
_cell_angle_gamma 90.00
loop_
_atom_site_label
_atom_site_type_symbol
_atom_site_fract_x
_atom_site_fract_y
_atom_site_fract_z
K1 K 0.124 0.101 0.154
K2 K 0.125 0.405 0.648
Pd1 Pd 0.125 0.000 0.750
Pd2 Pd 0.125 0.500 0.250
Se1 Se 0.040 0.316 0.013
Se2 Se 0.068 0.361 0.439
Se3 Se 0.094 0.238 0.795
Se4 Se 0.116 0.349 0.241
Se5 Se 0.118 0.058 0.890
Se6 Se 0.132 0.140 0.692
Se7 Se 0.134 0.491 0.400
Se8 Se 0.156 0.045 0.512
Se9 Se 0.182 0.311 0.111
Se10 Se 0.211 0.264 0.434
```

Principal peaks in the range 2θ = 15–90°, by intensity:
| (hkl) | Position (°2θ) | d (Å) | intensity |
| --- | --- | --- | --- |
| 2 1 1 | 16.0 | 5.546 | 100 |
| 1 4 3 | 28.1 | 3.177 | 37 |
| 2 5 1 | 31.2 | 2.868 | 36 |
| 4 0 0 | 28.3 | 3.156 | 22 |
| 4 2 0 | 30.3 | 2.946 | 20 |
| 2 6 2 | 37.5 | 2.401 | 16 |


[4]
This entry pairs a crystal structure of K2Pd3Se2 with its theoretical powder X-ray diffraction pattern. Radiation: copper Kα. Structure: a structure optimized by DFT (PBE).
Kinematic intensities with the Lorentz-polarization factor, no thermal factor.

```
data_K2Pd3Se2
_chemical_formula_sum 'K32 Pd48 Se32'
_symmetry_space_group_name_H-M 'F d d d'
_symmetry_Int_Tables_number 70
_cell_length_a 9.082
_cell_length_b 10.328
_cell_length_c 38.215
_cell_angle_alpha 90.00
_cell_angle_beta 90.00
_cell_angle_gamma 90.00
loop_
_symmetry_equiv_pos_as_xyz
'x,y,z'
'-x,-y,-z'
'-x+1/4,-y+1/4,z'
'x+1/4,y+1/4,-z'
'x,-y+1/4,-z+1/4'
'-x,y+1/4,z+1/4'
'-x+1/4,y,-z+1/4'
'x+1/4,-y,z+1/4'
'x,y+1/2,z+1/2'
'-x,-y+1/2,-z+1/2'
'-x+1/4,-y+3/4,z+1/2'
'x+1/4,y+3/4,-z+1/2'
'x,-y+3/4,-z+3/4'
'-x,y+3/4,z+3/4'
'-x+1/4,y+1/2,-z+3/4'
'x+1/4,-y+1/2,z+3/4'
'x+1/2,y,z+1/2'
'-x+1/2,-y,-z+1/2'
'-x+3/4,-y+1/4,z+1/2'
'x+3/4,y+1/4,-z+1/2'
'x+1/2,-y+1/4,-z+3/4'
'-x+1/2,y+1/4,z+3/4'
'-x+3/4,y,-z+3/4'
'x+3/4,-y,z+3/4'
'x+1/2,y+1/2,z'
'-x+1/2,-y+1/2,-z'
'-x+3/4,-y+3/4,z'
'x+3/4,y+3/4,-z'
'x+1/2,-y+3/4,-z+1/4'
'-x+1/2,y+3/4,z+1/4'
'-x+3/4,y+1/2,-z+1/4'
'x+3/4,-y+1/2,z+1/4'
loop_
_atom_site_label
_atom_site_type_symbol
_atom_site_fract_x
_atom_site_fract_y
_atom_site_fract_z
K1 K 0.110 0.369 0.069
Pd1 Pd 0.000 0.000 0.000
Pd2 Pd 0.054 0.013 0.751
Se1 Se 0.104 0.363 0.954
```

Principal peaks in the range 2θ = 15–90°, by intensity:
| (hkl) | Position (°2θ) | d (Å) | intensity |
| --- | --- | --- | --- |
| 0 4 8 | 39.7 | 2.271 | 100 |
| 0 4 12 | 45.2 | 2.005 | 53 |
| 2 2 8 | 32.3 | 2.775 | 47 |
| 2 2 0 | 26.1 | 3.410 | 45 |
| 3 1 7 | 35.0 | 2.565 | 34 |
| 0 4 4 | 36.0 | 2.493 | 30 |


Please write out number 1 again, unchanged.
This entry pairs a crystal structure of K2Pd3S2 with its theoretical powder X-ray diffraction pattern. Radiation: copper Kα. Structure: a structure optimized by DFT (PBE).
Kinematic intensities with the Lorentz-polarization factor, no thermal factor.

```
data_K2Pd3S2
_chemical_formula_sum 'K32 Pd48 S32'
_symmetry_space_group_name_H-M 'F d d d'
_symmetry_Int_Tables_number 70
_cell_length_a 8.243
_cell_length_b 10.484
_cell_length_c 31.842
_cell_angle_alpha 90.00
_cell_angle_beta 90.00
_cell_angle_gamma 90.00
loop_
_symmetry_equiv_pos_as_xyz
'x,y,z'
'-x,-y,-z'
'-x+1/4,-y+1/4,z'
'x+1/4,y+1/4,-z'
'x,-y+1/4,-z+1/4'
'-x,y+1/4,z+1/4'
'-x+1/4,y,-z+1/4'
'x+1/4,-y,z+1/4'
'x,y+1/2,z+1/2'
'-x,-y+1/2,-z+1/2'
'-x+1/4,-y+3/4,z+1/2'
'x+1/4,y+3/4,-z+1/2'
'x,-y+3/4,-z+3/4'
'-x,y+3/4,z+3/4'
'-x+1/4,y+1/2,-z+3/4'
'x+1/4,-y+1/2,z+3/4'
'x+1/2,y,z+1/2'
'-x+1/2,-y,-z+1/2'
'-x+3/4,-y+1/4,z+1/2'
'x+3/4,y+1/4,-z+1/2'
'x+1/2,-y+1/4,-z+3/4'
'-x+1/2,y+1/4,z+3/4'
'-x+3/4,y,-z+3/4'
'x+3/4,-y,z+3/4'
'x+1/2,y+1/2,z'
'-x+1/2,-y+1/2,-z'
'-x+3/4,-y+3/4,z'
'x+3/4,y+3/4,-z'
'x+1/2,-y+3/4,-z+1/4'
'-x+1/2,y+3/4,z+1/4'
'-x+3/4,y+1/2,-z+1/4'
'x+3/4,-y+1/2,z+1/4'
loop_
_atom_site_label
_atom_site_type_symbol
_atom_site_fract_x
_atom_site_fract_y
_atom_site_fract_z
K1 K 0.101 0.296 0.422
Pd1 Pd 0.000 0.000 0.000
Pd2 Pd 0.098 0.000 0.732
S1 S 0.006 0.354 0.184
```

Principal peaks in the range 2θ = 15–90°, by intensity:
| (hkl) | Position (°2θ) | d (Å) | intensity |
| --- | --- | --- | --- |
| 0 0 12 | 33.8 | 2.650 | 100 |
| 0 4 0 | 34.2 | 2.623 | 66 |
| 0 4 4 | 36.1 | 2.489 | 63 |
| 3 1 3 | 34.8 | 2.578 | 51 |
| 3 3 1 | 41.9 | 2.154 | 50 |
| 2 0 10 | 35.6 | 2.520 | 49 |


Copy entry 2 word for word.
This entry pairs a crystal structure of K2UPd3S6 with its theoretical powder X-ray diffraction pattern. Radiation: copper Kα. Structure: a structure optimized by DFT (PBE).
Kinematic intensities with the Lorentz-polarization factor, no thermal factor.

```
data_K2UPd3S6
_chemical_formula_sum 'K16 U8 Pd24 S48'
_symmetry_space_group_name_H-M 'F m m m'
_symmetry_Int_Tables_number 69
_symmetry_space_group_name_Hall '-F 2 2'
_cell_length_a 9.751
_cell_length_b 14.403
_cell_length_c 16.759
_cell_angle_alpha 90.00
_cell_angle_beta 90.00
_cell_angle_gamma 90.00
loop_
_atom_site_label
_atom_site_type_symbol
_atom_site_fract_x
_atom_site_fract_y
_atom_site_fract_z
K1 K 0.000 0.205 0.000
K2 K 0.250 0.250 0.250
U1 U 0.000 0.000 0.331
Pd1 Pd 0.163 0.000 0.158
Pd2 Pd 0.173 0.000 0.500
S1 S 0.000 0.113 0.206
S2 S 0.181 0.114 0.396
```

Principal peaks in the range 2θ = 15–90°, by intensity:
| (hkl) | Position (°2θ) | d (Å) | intensity |
| --- | --- | --- | --- |
| 3 3 3 | 37.1 | 2.425 | 100 |
| 3 1 3 | 32.5 | 2.757 | 96 |
| 3 5 3 | 45.1 | 2.011 | 76 |
| 0 2 6 | 34.4 | 2.604 | 50 |
| 2 2 2 | 24.5 | 3.637 | 44 |
| 0 4 6 | 40.9 | 2.207 | 39 |